# PuAl4Cu4
Simulated powder X-ray diffraction pattern, Cu Kα X-rays. Input: a crystal structure in Alexandria, relaxed with PBE.
Intensities are scaled so that the largest is 100.

Largest 10 diffraction maxima, in order of falling intensity, 10 to 90 degrees two-theta:
hkl 1 2 1, 31.11 deg, I 100; hkl 3 1 0, 33.81 deg, I 69; hkl 1 0 1, 22.51 deg, I 64; hkl 2 2 0, 30.15 deg, I 49; hkl 4 1 1, 49.21 deg, I 40; hkl 3 1 2, 53.58 deg, I 37; hkl 2 3 1, 43.87 deg, I 33; hkl 0 0 2, 40.29 deg, I 30; hkl 3 4 1, 58.80 deg, I 29; hkl 1 1 0, 14.94 deg, I 27

Unit cell a=8.384 b=8.384 c=4.477 alpha=90.00 beta=90.00 gamma=90.00
Positions (direct):
Pu1 0.000 0.000 0.000
Pu2 0.500 0.500 0.500
Al1 0.109 0.388 0.500
Al2 0.111 0.609 0.000
Al3 0.388 0.891 0.500
Al4 0.391 0.111 0.000
Al5 0.609 0.889 0.000
Al6 0.612 0.109 0.500
Al7 0.889 0.391 0.000
Al8 0.891 0.612 0.500
Cu1 0.178 0.701 0.500
Cu2 0.202 0.323 0.000
Cu3 0.299 0.178 0.500
Cu4 0.323 0.798 0.000
Cu5 0.677 0.202 0.000
Cu6 0.701 0.822 0.500
Cu7 0.798 0.677 0.000
Cu8 0.822 0.299 0.500